No. 1
Calculated powder X-ray diffraction pattern of NbInCuRe for Cu Kα X-rays, from a PBE-relaxed structure.
Peak positions follow from Bragg's law for the DFT cell and can differ from measured ones.

Crystal structure
```
16
Lattice="6.420 0.000 0.000 0.000 6.420 0.000 0.000 0.000 6.420" Properties=species:S:1:pos:R:3 pbc="T T T"
Nb 0.000 0.000 0.000
Nb 0.000 3.210 3.210
Nb 3.210 0.000 3.210
Nb 3.210 3.210 0.000
In 0.000 0.000 3.210
In 0.000 3.210 0.000
In 3.210 0.000 0.000
In 3.210 3.210 3.210
Cu 1.605 1.605 4.815
Cu 1.605 4.815 1.605
Cu 4.815 1.605 1.605
Cu 4.815 4.815 4.815
Re 1.605 1.605 1.605
Re 1.605 4.815 4.815
Re 4.815 1.605 4.815
Re 4.815 4.815 1.605
```

Principal peaks in the range 2θ = 15–90°, by intensity:
2θ (°)  I_rel
39.7  100
72.1  33
57.4  17
24.0  15
85.6  11
46.9  8

No. 2
Calculated powder X-ray diffraction pattern of NbInCuSe2S for Cu Kα X-rays, from a PBE-relaxed structure.
Peak positions follow from Bragg's law for the DFT cell and can differ from measured ones.

Crystal structure
```
12
Lattice="1.812 -7.197 0.000 1.812 7.197 0.000 0.000 0.000 9.580" Properties=species:S:1:pos:R:3 pbc="T T T"
Nb 0.000 0.000 0.000
Nb 0.000 0.000 4.790
In 1.812 3.429 7.185
In 1.812 -3.429 2.395
Cu 1.812 0.484 2.395
Cu 1.812 -0.484 7.185
Se 1.812 1.917 0.456
Se 1.812 1.917 4.334
Se 1.812 -1.917 5.246
Se 1.812 -1.917 9.124
S 1.812 6.275 2.395
S 1.812 -6.275 7.185
```

Principal peaks in the range 2θ = 15–90°, by intensity:
2θ (°)  I_rel
32.3  100
36.3  77
44.4  56
30.9  52
37.6  51
38.1  46

No. 3
Calculated powder X-ray diffraction pattern of ScIn2Cu4Ni for Cu Kα X-rays, from a PBE-relaxed structure.
Peak positions follow from Bragg's law for the DFT cell and can differ from measured ones.

Crystal structure
```
8
Lattice="4.419 0.000 0.000 0.000 4.419 0.000 0.000 0.000 6.191" Properties=species:S:1:pos:R:3 pbc="T T T"
Sc 0.000 0.000 0.000
In 0.000 0.000 3.096
In 2.210 2.210 0.000
Cu 0.000 2.210 1.652
Cu 0.000 2.210 4.539
Cu 2.210 0.000 1.652
Cu 2.210 0.000 4.539
Ni 2.210 2.210 3.096
```

Principal peaks in the range 2θ = 15–90°, by intensity:
2θ (°)  I_rel
41.0  100
40.8  52
74.5  31
59.1  16
24.8  15
74.9  14

No. 4
Calculated powder X-ray diffraction pattern of InCuNi4Se8 for Cu Kα X-rays, from a PBE-relaxed structure.
Peak positions follow from Bragg's law for the DFT cell and can differ from measured ones.

Crystal structure
```
14
Lattice="0.000 5.205 5.205 5.205 0.000 5.205 5.205 5.205 0.000" Properties=species:S:1:pos:R:3 pbc="T T T"
In 0.000 0.000 0.000
Cu 7.807 7.807 7.807
Ni 3.937 3.937 3.937
Ni 6.473 6.473 3.937
Ni 6.473 3.937 6.473
Ni 3.937 6.473 6.473
Se 1.500 1.500 1.500
Se 3.705 3.705 1.500
Se 3.705 1.500 3.705
Se 6.376 4.034 4.034
Se 1.500 3.705 3.705
Se 4.034 6.376 4.034
Se 4.034 4.034 6.376
Se 6.376 6.376 6.376
```

Principal peaks in the range 2θ = 15–90°, by intensity:
2θ (°)  I_rel
49.5  100
34.5  65
45.3  60
28.4  54
29.7  34
24.2  34